Structure and computed powder XRD pattern of Ce5SnPb4 (DFT lattice parameters and positions (GGA-PBE); Cu Ka).
Intensities are scaled so that the largest is 100.

Structural model:
Lattice parameters (Å, degrees): 4.2154 4.2154 16.4106 90.00 90.00 90.00
Space group P4/mmm (No. 123)
Inequivalent atoms, fractional coordinates:
Ce  0.0000  0.0000  0.0000 x1
Ce  0.0000  0.0000  0.2013 x2
Ce  0.0000  0.0000  0.4064 x2
Sn  0.5000  0.5000  0.5000 x1
Pb  0.5000  0.5000  0.1003 x2
Pb  0.5000  0.5000  0.3035 x2

The 10 most intense peaks (2θ from 10° to 90°), low angle first:
29.98 deg, I 74, hkl 1 1 0; 34.64 deg, I 100, hkl 1 0 5; 42.91 deg, I 28, hkl 2 0 0; 56.28 deg, I 51, hkl 2 1 5; 62.30 deg, I 9, hkl 2 2 0; 64.86 deg, I 16, hkl 1 1 10; 70.67 deg, I 13, hkl 3 1 0; 73.08 deg, I 11, hkl 2 0 10; 73.28 deg, I 12, hkl 3 0 5; 88.85 deg, I 15, hkl 3 2 5

***

Structure and computed powder XRD pattern of SiPSe2 (DFT lattice parameters and positions (GGA-PBE); Cu Ka).
Intensities are scaled so that the largest is 100.

Structural model:
Lattice parameters (Å, degrees): 4.5744 3.4713 13.4857 90.00 90.00 90.00
Space group Amm2 (No. 38)
Inequivalent atoms, fractional coordinates:
Si  0.0000  0.0000  0.0000 x2
P  0.5000  0.0000  0.9476 x2
Se  0.0000  0.0000  0.6151 x2
Se  0.5000  0.0000  0.3322 x2

The 10 most intense peaks (2θ from 10° to 90°), low angle first:
23.50 deg, I 100, hkl 1 0 2; 26.46 deg, I 15, hkl 0 0 4; 32.59 deg, I 52, hkl 0 1 3; 33.07 deg, I 35, hkl 1 1 1; 39.40 deg, I 19, hkl 2 0 0; 47.07 deg, I 37, hkl 1 1 5; 52.02 deg, I 26, hkl 2 1 3; 58.35 deg, I 9, hkl 1 0 8; 58.50 deg, I 15, hkl 1 2 2; 76.90 deg, I 9, hkl 3 1 5